# 1
Computed X-ray diffraction stick pattern
Compound: MgCo2As2S2
Radiation: Cu Kα (λ = 1.5418 Å)
Structure: a DFT-relaxed cell (GGA-PBE, the Materials Project)

Structure:
```
data_MgCo2As2S2
_space_group_name_H-M_alt 'P 1'
_space_group_IT_number 1
_cell_length_a 4.9938
_cell_length_b 3.4879
_cell_length_c 6.6688
_cell_angle_alpha 90.00
_cell_angle_beta 103.32
_cell_angle_gamma 90.00
loop_
_space_group_symop_operation_xyz
'x,y,z'
loop_
_atom_site_label
_atom_site_type_symbol
_atom_site_fract_x
_atom_site_fract_y
_atom_site_fract_z
_atom_site_occupancy
Mg1 Mg 0.0000 0.0000 0.0000 1
Co1 Co 0.1326 0.5000 0.5399 1
Co2 Co 0.5315 0.0000 0.1039 1
As1 As 0.3910 0.5000 0.8813 1
As2 As 0.3936 0.0000 0.4294 1
S1 S 0.8452 0.5000 0.2196 1
S2 S 0.8735 0.0000 0.6247 1
```

Main lines, in order of falling intensity (2θ from 10° to 90°):
2θ (°)	d [Å]	I/Imax
32.74	2.735	100
50.36	1.812	50
18.26	4.859	44
49.59	1.838	42
20.15	4.407	42
49.46	1.843	37

=====

# 2
Computed X-ray diffraction stick pattern
Compound: MgCo4As4S4
Radiation: Cu Kα (λ = 1.5418 Å)
Structure: a DFT-relaxed cell (GGA-PBE, the Materials Project)

Structure:
```
data_MgCo4As4S4
_space_group_name_H-M_alt 'P 1'
_space_group_IT_number 1
_cell_length_a 5.8375
_cell_length_b 5.8381
_cell_length_c 5.8401
_cell_angle_alpha 88.98
_cell_angle_beta 88.78
_cell_angle_gamma 88.95
loop_
_space_group_symop_operation_xyz
'x,y,z'
loop_
_atom_site_label
_atom_site_type_symbol
_atom_site_fract_x
_atom_site_fract_y
_atom_site_fract_z
_atom_site_occupancy
Mg1 Mg 0.0000 0.0000 0.0000 1
Co1 Co 0.2784 0.7998 0.3190 1
Co2 Co 0.3145 0.2790 0.8038 1
Co3 Co 0.7662 0.7673 0.7721 1
Co4 Co 0.7988 0.3142 0.2827 1
As1 As 0.1810 0.6323 0.9087 1
As2 As 0.4344 0.4356 0.4392 1
As3 As 0.6340 0.9033 0.1860 1
As4 As 0.9011 0.1823 0.6367 1
S1 S 0.2105 0.2099 0.2187 1
S2 S 0.4025 0.9016 0.6864 1
S3 S 0.6805 0.4035 0.9063 1
S4 S 0.9012 0.6816 0.4080 1
```

Main lines, in order of falling intensity (2θ from 10° to 90°):
2θ (°)	d [Å]	I/Imax
34.09	2.630	100
30.64	2.918	55
38.12	2.361	55
34.62	2.591	51
37.88	2.375	44
52.04	1.757	39

=====

# 3
Computed X-ray diffraction stick pattern
Compound: MgCo4As4S4
Radiation: Cu Kα (λ = 1.5418 Å)
Structure: a DFT-relaxed cell (GGA-PBE, the Materials Project)

Structure:
```
data_MgCo4As4S4
_space_group_name_H-M_alt 'P 1'
_space_group_IT_number 1
_cell_length_a 5.7935
_cell_length_b 5.8083
_cell_length_c 6.1481
_cell_angle_alpha 89.58
_cell_angle_beta 87.45
_cell_angle_gamma 84.19
loop_
_space_group_symop_operation_xyz
'x,y,z'
loop_
_atom_site_label
_atom_site_type_symbol
_atom_site_fract_x
_atom_site_fract_y
_atom_site_fract_z
_atom_site_occupancy
Mg1 Mg 0.0000 0.0000 0.0000 1
Co1 Co 0.4311 0.1216 0.8416 1
Co2 Co 0.4593 0.6152 0.3725 1
Co3 Co 0.9144 0.6091 0.7720 1
Co4 Co 0.9348 0.1233 0.4196 1
As1 As 0.3143 0.2483 0.4853 1
As2 As 0.3278 0.7458 0.7339 1
As3 As 0.5582 0.9841 0.2354 1
As4 As 0.5696 0.4851 0.9757 1
S1 S 0.1094 0.7834 0.3099 1
S2 S 0.1276 0.3694 0.9713 1
S3 S 0.7670 0.9729 0.7015 1
S4 S 0.7964 0.4768 0.4777 1
```

Main lines, in order of falling intensity (2θ from 10° to 90°):
2θ (°)	d [Å]	I/Imax
33.03	2.712	100
42.01	2.151	76
36.78	2.444	62
15.39	5.758	54
33.26	2.694	48
33.80	2.652	48

=====

# 4
Computed X-ray diffraction stick pattern
Compound: MgCo2As2S2
Radiation: Cu Kα (λ = 1.5418 Å)
Structure: a DFT-relaxed cell (GGA-PBE, the Materials Project)

Structure:
```
data_MgCo2As2S2
_space_group_name_H-M_alt 'P 1'
_space_group_IT_number 1
_cell_length_a 5.1048
_cell_length_b 3.2801
_cell_length_c 6.9244
_cell_angle_alpha 90.00
_cell_angle_beta 105.70
_cell_angle_gamma 90.00
loop_
_space_group_symop_operation_xyz
'x,y,z'
loop_
_atom_site_label
_atom_site_type_symbol
_atom_site_fract_x
_atom_site_fract_y
_atom_site_fract_z
_atom_site_occupancy
Mg1 Mg 0.0000 0.0000 0.0000 1
Co1 Co 0.1180 0.0000 0.5942 1
Co2 Co 0.5295 0.5000 0.1768 1
As1 As 0.3771 0.5000 0.4752 1
As2 As 0.4551 0.0000 0.9069 1
S1 S 0.8272 0.0000 0.2939 1
S2 S 0.8694 0.5000 0.6976 1
```

Main lines, in order of falling intensity (2θ from 10° to 90°):
2θ (°)	d [Å]	I/Imax
33.57	2.669	100
51.20	1.784	73
48.38	1.881	60
39.41	2.286	56
19.32	4.594	54
49.55	1.840	51

=====

# 5
Computed X-ray diffraction stick pattern
Compound: MgCo4As4S4
Radiation: Cu Kα (λ = 1.5418 Å)
Structure: a DFT-relaxed cell (GGA-PBE, the Materials Project)

Structure:
```
data_MgCo4As4S4
_space_group_name_H-M_alt 'P 1'
_space_group_IT_number 1
_cell_length_a 5.8544
_cell_length_b 5.8544
_cell_length_c 5.8544
_cell_angle_alpha 86.95
_cell_angle_beta 86.95
_cell_angle_gamma 86.95
loop_
_space_group_symop_operation_xyz
'x,y,z'
loop_
_atom_site_label
_atom_site_type_symbol
_atom_site_fract_x
_atom_site_fract_y
_atom_site_fract_z
_atom_site_occupancy
Mg1 Mg 0.0000 0.0000 0.0000 1
Co1 Co 0.1990 0.6939 0.7003 1
Co2 Co 0.2267 0.2267 0.2267 1
Co3 Co 0.6939 0.7003 0.1990 1
Co4 Co 0.7003 0.1990 0.6939 1
As1 As 0.0869 0.3306 0.5925 1
As2 As 0.3306 0.5925 0.0869 1
As3 As 0.5925 0.0869 0.3306 1
As4 As 0.7822 0.7822 0.7822 1
S1 S 0.1169 0.8322 0.3508 1
S2 S 0.3508 0.1169 0.8322 1
S3 S 0.5701 0.5701 0.5701 1
S4 S 0.8322 0.3508 0.1169 1
```

Main lines, in order of falling intensity (2θ from 10° to 90°):
2θ (°)	d [Å]	I/Imax
30.62	2.919	100
35.05	2.560	79
33.62	2.666	74
38.07	2.364	60
52.20	1.752	51
50.13	1.820	48

=====

# 6
Computed X-ray diffraction stick pattern
Compound: MgCo4As4S4
Radiation: Cu Kα (λ = 1.5418 Å)
Structure: a DFT-relaxed cell (GGA-PBE, the Materials Project)

Structure:
```
data_MgCo4As4S4
_space_group_name_H-M_alt 'P 1'
_space_group_IT_number 1
_cell_length_a 5.5587
_cell_length_b 5.6456
_cell_length_c 7.3286
_cell_angle_alpha 94.46
_cell_angle_beta 94.15
_cell_angle_gamma 90.14
loop_
_space_group_symop_operation_xyz
'x,y,z'
loop_
_atom_site_label
_atom_site_type_symbol
_atom_site_fract_x
_atom_site_fract_y
_atom_site_fract_z
_atom_site_occupancy
Mg1 Mg 0.0000 0.0000 0.0000 1
Co1 Co 0.3007 0.2564 0.2758 1
Co2 Co 0.3084 0.7956 0.6482 1
Co3 Co 0.7643 0.7574 0.2800 1
Co4 Co 0.8448 0.2963 0.6468 1
As1 As 0.1717 0.8788 0.3457 1
As2 As 0.4483 0.4128 0.5767 1
As3 As 0.6938 0.9095 0.5807 1
As4 As 0.9176 0.3843 0.3399 1
S1 S 0.2030 0.1592 0.7411 1
S2 S 0.4084 0.6032 0.1829 1
S3 S 0.6381 0.1033 0.1824 1
S4 S 0.9669 0.6615 0.7461 1
```

Main lines, in order of falling intensity (2θ from 10° to 90°):
2θ (°)	d [Å]	I/Imax
12.15	7.287	100
24.43	3.644	16
35.99	2.495	12
37.01	2.429	12
36.24	2.479	11
41.63	2.169	11

=====

# 7
Computed X-ray diffraction stick pattern
Compound: Mn2CoAs
Radiation: Cu Kα (λ = 1.5418 Å)
Structure: a DFT-relaxed cell (GGA-PBE, the Materials Project)

Structure:
```
data_Mn2CoAs
_space_group_name_H-M_alt 'P 1'
_space_group_IT_number 1
_cell_length_a 5.7422
_cell_length_b 5.7422
_cell_length_c 5.7422
_cell_angle_alpha 90.00
_cell_angle_beta 90.00
_cell_angle_gamma 90.00
loop_
_space_group_symop_operation_xyz
'x,y,z'
loop_
_atom_site_label
_atom_site_type_symbol
_atom_site_fract_x
_atom_site_fract_y
_atom_site_fract_z
_atom_site_occupancy
Mn1 Mn 0.0000 0.0000 0.0000 1
Mn2 Mn 0.0000 0.5000 0.5000 1
Mn3 Mn 0.2500 0.2500 0.2500 1
Mn4 Mn 0.2500 0.7500 0.7500 1
Mn5 Mn 0.5000 0.0000 0.5000 1
Mn6 Mn 0.5000 0.5000 0.0000 1
Mn7 Mn 0.7500 0.2500 0.7500 1
Mn8 Mn 0.7500 0.7500 0.2500 1
Co1 Co 0.2500 0.2500 0.7500 1
Co2 Co 0.2500 0.7500 0.2500 1
Co3 Co 0.7500 0.2500 0.2500 1
Co4 Co 0.7500 0.7500 0.7500 1
As1 As 0.0000 0.0000 0.5000 1
As2 As 0.0000 0.5000 0.0000 1
As3 As 0.5000 0.0000 0.0000 1
As4 As 0.5000 0.5000 0.5000 1
```

Main lines, in order of falling intensity (2θ from 10° to 90°):
2θ (°)	d [Å]	I/Imax
44.63	2.030	100
82.25	1.172	30
64.96	1.436	15
26.89	3.315	2
52.88	1.731	1
71.64	1.317	1